This entry pairs a crystal structure of La3Cd with its simulated powder diffraction line list. Radiation: CuKα. Structure: a structure optimized by DFT (PBE).

Cell and atoms:
Cell: 3.7529 5.7896 5.9737 Å, 90.00 90.00 90.00°
Space group Pmm2 (No. 25)
Asymmetric unit:
La  0.0000  0.0000  0.0000
La  0.0000  0.5000  0.4319
La  0.5000  0.5000  0.8842
Cd  0.5000  0.0000  0.5129

Peak list (12 most intense, 10° ≤ 2θ ≤ 80°, by intensity)
- d 2.786, 32.1 deg, I = 100
- d 2.895, 30.9 deg, I = 31
- d 2.987, 29.9 deg, I = 21
- d 1.650, 55.7 deg, I = 21
- d 2.654, 33.8 deg, I = 15
- d 2.079, 43.5 deg, I = 15
- d 1.575, 58.6 deg, I = 10
- d 1.503, 61.7 deg, I = 9
- d 1.447, 64.4 deg, I = 9
- d 1.876, 48.5 deg, I = 9
- d 1.393, 67.2 deg, I = 8
- d 1.759, 52.0 deg, I = 8